The following is a theoretical X-ray powder pattern of Ga4PtAu12. It was derived from DFT lattice parameters and positions (GGA-PBE), using Cu Ka.

Structural model:
Cell: 7.6958 7.6958 7.6958 Å, 109.47 109.47 109.47°
Element x y z (fractional)
Ga: 0.0000 0.0000 0.5000
Ga: 0.0000 0.5000 0.0000
Ga: 0.5000 0.0000 0.0000
Ga: 0.5000 0.5000 0.5000
Pt: 0.0000 0.0000 0.0000
Au: 0.1541 0.3428 0.4969
Au: 0.1541 0.6572 0.8113
Au: 0.1887 0.8459 0.3428
Au: 0.3428 0.1887 0.8459
Au: 0.3428 0.4969 0.1541
Au: 0.4969 0.1541 0.3428
Au: 0.5031 0.8459 0.6572
Au: 0.6572 0.5031 0.8459
Au: 0.6572 0.8113 0.1541
Au: 0.8113 0.1541 0.6572
Au: 0.8459 0.3428 0.1887
Au: 0.8459 0.6572 0.5031

The 10 most intense peaks (10 to 80 degrees two-theta), by intensity:
| two_theta | d [Å] | Rel. int. |
| --- | --- | --- |
| 31.85 | 2.810 | 100 |
| 37.88 | 2.375 | 41 |
| 52.51 | 1.743 | 32 |
| 72.09 | 1.310 | 17 |
| 50.30 | 1.814 | 16 |
| 62.73 | 1.481 | 13 |
| 60.78 | 1.524 | 12 |
| 45.66 | 1.987 | 11 |
| 48.02 | 1.895 | 5 |
| 75.68 | 1.257 | 5 |